No. 1
The following is a theoretical X-ray diffraction stick pattern of Mg7Zn3Cu2. It was derived from a crystal structure in Alexandria, relaxed with GGA-PBE, using λ = 1.5418 Å (Cu Kα).
Lines closer than 0.1° are merged.

Peak list (12 most intense, 10° ≤ 2θ ≤ 90°, in order of rising 2θ)
2theta  I (rel.)
19.58  22
29.46  14
32.00  50
37.27  12
37.79  100
39.75  17
51.92  16
57.05  10
60.90  25
66.91  14
70.86  7
80.74  11

Atomic structure:
```
data_Mg7Zn3Cu2
_cell_length_a 9.627
_cell_length_b 9.627
_cell_length_c 9.627
_cell_angle_alpha 33.78
_cell_angle_beta 33.78
_cell_angle_gamma 33.78
_symmetry_space_group_name_H-M 'P 1'
_symmetry_Int_Tables_number 1
loop_
_symmetry_equiv_pos_as_xyz
'x,y,z'
loop_
_atom_site_label
_atom_site_fract_x
_atom_site_fract_y
_atom_site_fract_z
_atom_site_occupancy
Mg1 0.000 0.000 0.000 1
Mg2 0.079 0.079 0.575 1
Mg3 0.079 0.575 0.079 1
Mg4 0.425 0.921 0.921 1
Mg5 0.575 0.079 0.079 1
Mg6 0.921 0.425 0.921 1
Mg7 0.921 0.921 0.425 1
Zn1 0.347 0.347 0.347 1
Zn2 0.500 0.500 0.500 1
Zn3 0.653 0.653 0.653 1
Cu1 0.167 0.167 0.167 1
Cu2 0.833 0.833 0.833 1
```

=====

No. 2
The following is a theoretical X-ray diffraction stick pattern of SbSeBr. It was derived from a crystal structure in Alexandria, relaxed with GGA-PBE, using λ = 1.5418 Å (Cu Kα).
Lines closer than 0.1° are merged.

Peak list (12 most intense, 10° ≤ 2θ ≤ 90°, in order of rising 2θ)
2theta  I (rel.)
12.79  100
25.39  12
29.14  24
29.53  87
29.89  59
33.67  28
34.00  23
38.65  15
39.27  22
44.36  22
44.69  22
45.64  13

Atomic structure:
```
data_SbSeBr
_cell_length_a 4.056
_cell_length_b 7.259
_cell_length_c 7.321
_cell_angle_alpha 92.12
_cell_angle_beta 105.19
_cell_angle_gamma 106.17
_symmetry_space_group_name_H-M 'P 1'
_symmetry_Int_Tables_number 1
loop_
_symmetry_equiv_pos_as_xyz
'x,y,z'
loop_
_atom_site_label
_atom_site_fract_x
_atom_site_fract_y
_atom_site_fract_z
_atom_site_occupancy
Sb1 0.139 0.494 0.261 1
Sb2 0.861 0.506 0.739 1
Se1 0.403 0.724 0.587 1
Se2 0.597 0.276 0.413 1
Br1 0.290 0.233 0.860 1
Br2 0.710 0.767 0.140 1
```

=====

No. 3
The following is a theoretical X-ray diffraction stick pattern of Ce3Ni7Ru2. It was derived from a crystal structure in Alexandria, relaxed with GGA-PBE, using λ = 1.5418 Å (Cu Kα).
Lines closer than 0.1° are merged.

Peak list (12 most intense, 10° ≤ 2θ ≤ 90°, in order of rising 2θ)
2theta  I (rel.)
32.21  24
35.05  19
36.17  42
42.15  100
42.59  17
44.43  24
45.79  16
48.78  8
64.32  10
66.71  13
69.15  17
76.76  16

Atomic structure:
```
data_Ce3Ni7Ru2
_cell_length_a 8.965
_cell_length_b 8.965
_cell_length_c 8.965
_cell_angle_alpha 32.16
_cell_angle_beta 32.16
_cell_angle_gamma 32.16
_symmetry_space_group_name_H-M 'P 1'
_symmetry_Int_Tables_number 1
loop_
_symmetry_equiv_pos_as_xyz
'x,y,z'
loop_
_atom_site_label
_atom_site_fract_x
_atom_site_fract_y
_atom_site_fract_z
_atom_site_occupancy
Ce1 0.000 0.000 0.000 1
Ce2 0.139 0.139 0.139 1
Ce3 0.861 0.861 0.861 1
Ni1 0.085 0.585 0.585 1
Ni2 0.415 0.415 0.915 1
Ni3 0.415 0.915 0.415 1
Ni4 0.500 0.500 0.500 1
Ni5 0.585 0.085 0.585 1
Ni6 0.585 0.585 0.085 1
Ni7 0.915 0.415 0.415 1
Ru1 0.332 0.332 0.332 1
Ru2 0.668 0.668 0.668 1
```

=====

No. 4
The following is a theoretical X-ray diffraction stick pattern of Cd2Ag5Pd5. It was derived from a crystal structure in Alexandria, relaxed with GGA-PBE, using λ = 1.5418 Å (Cu Kα).
Lines closer than 0.1° are merged.

Peak list (12 most intense, 10° ≤ 2θ ≤ 90°, in order of rising 2θ)
2theta  I (rel.)
38.07  100
38.27  98
43.79  33
44.49  32
44.82  31
64.46  30
64.99  20
76.51  12
76.90  12
77.51  12
77.90  11
78.11  11

Atomic structure:
```
data_Cd2Ag5Pd5
_cell_length_a 6.524
_cell_length_b 6.524
_cell_length_c 9.164
_cell_angle_alpha 115.83
_cell_angle_beta 115.83
_cell_angle_gamma 36.12
_symmetry_space_group_name_H-M 'P 1'
_symmetry_Int_Tables_number 1
loop_
_symmetry_equiv_pos_as_xyz
'x,y,z'
loop_
_atom_site_label
_atom_site_fract_x
_atom_site_fract_y
_atom_site_fract_z
_atom_site_occupancy
Cd1 0.082 0.082 0.253 1
Cd2 0.918 0.918 0.747 1
Ag1 0.000 0.000 0.500 1
Ag2 0.167 0.167 0.000 1
Ag3 0.247 0.247 0.747 1
Ag4 0.753 0.753 0.253 1
Ag5 0.833 0.833 0.000 1
Pd1 0.333 0.333 0.500 1
Pd2 0.418 0.418 0.252 1
Pd3 0.500 0.500 0.000 1
Pd4 0.582 0.582 0.748 1
Pd5 0.667 0.667 0.500 1
```

=====

No. 5
The following is a theoretical X-ray diffraction stick pattern of LiPm2Ni4P3. It was derived from a crystal structure in Alexandria, relaxed with GGA-PBE, using λ = 1.5418 Å (Cu Kα).
Lines closer than 0.1° are merged.

Peak list (12 most intense, 10° ≤ 2θ ≤ 90°, in order of rising 2θ)
2theta  I (rel.)
24.33  34
31.80  37
33.26  12
36.73  88
37.34  100
45.59  55
54.42  29
59.92  41
66.45  17
69.14  17
73.64  23
78.78  22

Atomic structure:
```
data_LiPm2Ni4P3
_cell_length_a 3.980
_cell_length_b 3.980
_cell_length_c 9.307
_cell_angle_alpha 90.00
_cell_angle_beta 90.00
_cell_angle_gamma 90.00
_symmetry_space_group_name_H-M 'P 1'
_symmetry_Int_Tables_number 1
loop_
_symmetry_equiv_pos_as_xyz
'x,y,z'
loop_
_atom_site_label
_atom_site_fract_x
_atom_site_fract_y
_atom_site_fract_z
_atom_site_occupancy
Li1 0.000 0.000 0.000 1
Pm1 0.000 0.500 0.746 1
Pm2 0.500 0.000 0.254 1
Ni1 0.000 0.000 0.500 1
Ni2 0.000 0.500 0.123 1
Ni3 0.500 0.000 0.877 1
Ni4 0.500 0.500 0.500 1
P1 0.000 0.500 0.367 1
P2 0.500 0.000 0.633 1
P3 0.500 0.500 0.000 1
```

=====

No. 6
The following is a theoretical X-ray diffraction stick pattern of Cd2IrO5. It was derived from a crystal structure in Alexandria, relaxed with GGA-PBE, using λ = 1.5418 Å (Cu Kα).
Lines closer than 0.1° are merged.

Peak list (12 most intense, 10° ≤ 2θ ≤ 90°, in order of rising 2θ)
2theta  I (rel.)
16.76  23
29.14  100
30.21  97
32.97  31
33.94  16
34.90  25
35.30  20
48.77  31
49.08  31
56.54  15
57.18  16
60.35  22

Atomic structure:
```
data_Cd2IrO5
_cell_length_a 6.247
_cell_length_b 6.247
_cell_length_c 7.424
_cell_angle_alpha 107.84
_cell_angle_beta 107.84
_cell_angle_gamma 51.55
_symmetry_space_group_name_H-M 'P 1'
_symmetry_Int_Tables_number 1
loop_
_symmetry_equiv_pos_as_xyz
'x,y,z'
loop_
_atom_site_label
_atom_site_fract_x
_atom_site_fract_y
_atom_site_fract_z
_atom_site_occupancy
Cd1 0.131 0.169 0.289 1
Cd2 0.169 0.131 0.789 1
Cd3 0.831 0.869 0.211 1
Cd4 0.869 0.831 0.711 1
Ir1 0.500 0.500 0.000 1
Ir2 0.500 0.500 0.500 1
O1 0.108 0.701 0.004 1
O2 0.171 0.519 0.385 1
O3 0.299 0.892 0.496 1
O4 0.356 0.644 0.750 1
O5 0.481 0.829 0.115 1
O6 0.519 0.171 0.885 1
O7 0.644 0.356 0.250 1
O8 0.701 0.108 0.504 1
O9 0.829 0.481 0.615 1
O10 0.892 0.299 0.996 1
```

=====

No. 7
The following is a theoretical X-ray diffraction stick pattern of AlVSi. It was derived from a crystal structure in Alexandria, relaxed with GGA-PBE, using λ = 1.5418 Å (Cu Kα).
Lines closer than 0.1° are merged.

Peak list (12 most intense, 10° ≤ 2θ ≤ 90°, in order of rising 2θ)
2theta  I (rel.)
24.00  19
30.32  8
39.68  100
42.22  42
43.43  76
50.22  48
67.63  19
69.42  18
73.30  15
77.18  13
78.03  12
81.77  11

Atomic structure:
```
data_AlVSi
_cell_length_a 5.903
_cell_length_b 4.901
_cell_length_c 4.712
_cell_angle_alpha 75.74
_cell_angle_beta 53.58
_cell_angle_gamma 50.68
_symmetry_space_group_name_H-M 'P 1'
_symmetry_Int_Tables_number 1
loop_
_symmetry_equiv_pos_as_xyz
'x,y,z'
loop_
_atom_site_label
_atom_site_fract_x
_atom_site_fract_y
_atom_site_fract_z
_atom_site_occupancy
Al1 0.169 0.831 0.169 1
Al2 0.831 0.169 0.831 1
V1 0.250 0.250 0.250 1
V2 0.500 0.500 0.500 1
Si1 0.581 0.919 0.581 1
Si2 0.919 0.581 0.919 1
```

=====

No. 8
The following is a theoretical X-ray diffraction stick pattern of Sr2PuSnS5. It was derived from a crystal structure in Alexandria, relaxed with GGA-PBE, using λ = 1.5418 Å (Cu Kα).
Lines closer than 0.1° are merged.

Peak list (12 most intense, 10° ≤ 2θ ≤ 90°, in order of rising 2θ)
2theta  I (rel.)
14.00  41
22.91  31
23.46  30
24.91  35
26.25  42
27.19  37
30.49  100
31.78  62
36.50  32
43.10  33
44.86  28
54.54  27

Atomic structure:
```
data_Sr2PuSnS5
_cell_length_a 8.916
_cell_length_b 8.916
_cell_length_c 12.649
_cell_angle_alpha 90.00
_cell_angle_beta 90.00
_cell_angle_gamma 152.77
_symmetry_space_group_name_H-M 'P 1'
_symmetry_Int_Tables_number 1
loop_
_symmetry_equiv_pos_as_xyz
'x,y,z'
loop_
_atom_site_label
_atom_site_fract_x
_atom_site_fract_y
_atom_site_fract_z
_atom_site_occupancy
Sr1 0.110 0.890 0.500 1
Sr2 0.138 0.862 0.118 1
Sr3 0.862 0.138 0.618 1
Sr4 0.890 0.110 0.000 1
Pu1 0.213 0.787 0.830 1
Pu2 0.787 0.213 0.330 1
Sn1 0.471 0.529 0.272 1
Sn2 0.529 0.471 0.772 1
S1 0.056 0.944 0.884 1
S2 0.282 0.718 0.474 1
S3 0.317 0.683 0.189 1
S4 0.371 0.629 0.813 1
S5 0.492 0.508 0.579 1
S6 0.508 0.492 0.079 1
S7 0.629 0.371 0.313 1
S8 0.683 0.317 0.689 1
S9 0.718 0.282 0.974 1
S10 0.944 0.056 0.384 1
```